This entry pairs a crystal structure of TbDy2Y2Sc2 with its simulated X-ray diffraction stick pattern. Radiation: Cu Kα, 1.54184 Å. Structure: the GGA-PBE geometry in Alexandria.
Neutral-atom scattering factors, no anomalous dispersion.

Atomic structure:
abc: 5.886 5.886 11.573
angles: 108.42 108.42 33.84
Element x y z (fractional)
Tb (0.000, 0.000, 0.000)
Dy (0.452, 0.452, 0.733)
Dy (0.548, 0.548, 0.267)
Y (0.331, 0.331, 0.413)
Y (0.669, 0.669, 0.587)
Sc (0.227, 0.227, 0.866)
Sc (0.773, 0.773, 0.134)

Principal peaks in the range 15° ≤ 2θ ≤ 90°, low angle first:
2θ 15.95, d = 5.556 Å, rel. 41; 2θ 16.68, d = 5.316 Å, rel. 37; 2θ 29.36, d = 3.042 Å, rel. 45; 2θ 31.50, d = 2.840 Å, rel. 83; 2θ 31.92, d = 2.804 Å, rel. 68; 2θ 33.40, d = 2.683 Å, rel. 100; 2θ 34.13, d = 2.627 Å, rel. 51; 2θ 36.41, d = 2.468 Å, rel. 70; 2θ 39.17, d = 2.300 Å, rel. 29; 2θ 53.69, d = 1.707 Å, rel. 35

---

This entry pairs a crystal structure of Tm3ScAg4Se8 with its simulated X-ray diffraction stick pattern. Radiation: Cu Kα, 1.54184 Å. Structure: the GGA-PBE geometry in Alexandria.
Neutral-atom scattering factors, no anomalous dispersion.

Atomic structure:
abc: 8.047 8.047 8.082
angles: 119.21 119.21 60.94
Element x y z (fractional)
Tm (0.000, 0.000, 0.000)
Tm (0.000, 0.500, 0.500)
Tm (0.500, 0.000, 0.500)
Sc (0.500, 0.500, 0.000)
Ag (0.000, 0.000, 0.500)
Ag (0.000, 0.500, 0.000)
Ag (0.500, 0.000, 0.000)
Ag (0.500, 0.500, 0.500)
Se (0.248, 0.248, 0.254)
Se (0.254, 0.743, 0.759)
Se (0.257, 0.257, 0.752)
Se (0.257, 0.746, 0.241)
Se (0.743, 0.254, 0.759)
Se (0.743, 0.743, 0.248)
Se (0.746, 0.257, 0.241)
Se (0.752, 0.752, 0.746)

Principal peaks in the range 15° ≤ 2θ ≤ 90°, low angle first:
2θ 26.82, d = 3.325 Å, rel. 11; 2θ 31.15, d = 2.871 Å, rel. 100; 2θ 31.29, d = 2.858 Å, rel. 50; 2θ 44.40, d = 2.040 Å, rel. 56; 2θ 44.87, d = 2.020 Å, rel. 18; 2θ 45.07, d = 2.011 Å, rel. 35; 2θ 55.14, d = 1.666 Å, rel. 10; 2θ 55.32, d = 1.661 Å, rel. 19; 2θ 64.96, d = 1.436 Å, rel. 11; 2θ 73.42, d = 1.290 Å, rel. 16

---

This entry pairs a crystal structure of Tb6PrDy2Y with its simulated X-ray diffraction stick pattern. Radiation: Cu Kα, 1.54184 Å. Structure: the GGA-PBE geometry in Alexandria.
Neutral-atom scattering factors, no anomalous dispersion.

Atomic structure:
abc: 8.819 8.819 9.677
angles: 94.17 94.17 118.11
Element x y z (fractional)
Tb (0.027, 0.574, 0.183)
Tb (0.122, 0.750, 0.556)
Tb (0.250, 0.878, 0.944)
Tb (0.291, 0.501, 0.378)
Tb (0.426, 0.973, 0.317)
Tb (0.499, 0.709, 0.122)
Tb (0.501, 0.291, 0.878)
Tb (0.574, 0.027, 0.683)
Tb (0.709, 0.499, 0.622)
Tb (0.750, 0.122, 0.056)
Tb (0.878, 0.250, 0.444)
Tb (0.973, 0.426, 0.817)
Pr (0.406, 0.594, 0.750)
Pr (0.594, 0.406, 0.250)
Dy (0.192, 0.298, 0.043)
Dy (0.298, 0.192, 0.543)
Dy (0.702, 0.808, 0.457)
Dy (0.808, 0.702, 0.957)
Y (0.023, 0.977, 0.250)
Y (0.977, 0.023, 0.750)

Principal peaks in the range 15° ≤ 2θ ≤ 90°, low angle first:
2θ 28.49, d = 3.133 Å, rel. 35; 2θ 30.39, d = 2.942 Å, rel. 45; 2θ 30.58, d = 2.923 Å, rel. 68; 2θ 31.20, d = 2.867 Å, rel. 44; 2θ 31.48, d = 2.842 Å, rel. 100; 2θ 32.18, d = 2.781 Å, rel. 23; 2θ 33.52, d = 2.673 Å, rel. 65; 2θ 34.19, d = 2.622 Å, rel. 15; 2θ 56.50, d = 1.629 Å, rel. 15; 2θ 60.35, d = 1.534 Å, rel. 18